# 1
Starting from the GGA-PBE geometry in Alexandria, the PXRD pattern of Na4B7C was calculated for Cu Kα (weighted mean of Kα1 and Kα2).
Kinematic intensities with the Lorentz-polarization factor, no thermal factor.

Main lines, in order of rising 2θ (5° ≤ 2θ ≤ 70°):
2theta	d/Å	intensity	(hkl)
20.5	4.336	27	4 0 0
33.6	2.667	129	2 0 -4
35.7	2.516	180	1 1 -2
39.7	2.271	520	2 0 4
41.5	2.176	1000	3 1 2
41.7	2.168	370	8 0 0
54.5	1.684	33	10 0 -4
54.6	1.681	32	6 0 4
56.0	1.642	101	7 1 2
61.4	1.509	187	3 1 -6
65.4	1.427	79	0 2 0
65.5	1.425	24	7 1 -6

Structural model:
Unit cell a=18.155 b=2.854 c=10.667 alpha=90.00 beta=107.19 gamma=90.00
Space group C2/m (No. 12)
Inequivalent atoms, fractional coordinates:
1 Na 0.000 0.000 0.000 x2
2 Na 0.000 0.000 0.500 x2
3 Na 0.002 0.500 0.252 x4
4 Na 0.249 0.000 0.124 x4
5 Na 0.249 0.500 0.375 x4
6 B 0.125 0.000 0.234 x4
7 B 0.125 0.000 0.397 x4
8 B 0.125 0.000 0.879 x4
9 B 0.125 0.500 0.137 x4
10 B 0.125 0.500 0.491 x4
11 B 0.125 0.500 0.657 x4
12 B 0.125 0.500 0.975 x4
13 C 0.125 0.000 0.729 x4

# 2
Starting from the GGA-PBE geometry in Alexandria, the PXRD pattern of Na5B9C was calculated for Cu Kα (weighted mean of Kα1 and Kα2).
Kinematic intensities with the Lorentz-polarization factor, no thermal factor.

Main lines, in order of rising 2θ (5° ≤ 2θ ≤ 70°):
2theta	d/Å	intensity	(hkl)
10.0	8.888	74	0 0 5
34.5	2.602	398	1 0 0
36.0	2.498	125	1 0 5
36.6	2.455	107	1 0 6
38.2	2.357	72	1 0 8
40.2	2.246	1000	1 0 10
40.6	2.222	118	0 0 20
41.3	2.188	65	1 0 11
42.5	2.129	180	1 0 12
42.7	2.116	162	0 0 21
43.7	2.071	295	1 0 13
61.7	1.503	360	1 1 0

Structural model:
Unit cell a=3.0051 b=3.0051 c=44.4391 alpha=90.00 beta=90.00 gamma=120.00
Space group P-6m2 (No. 187)
Inequivalent atoms, fractional coordinates:
1 Na 0.0000 0.0000 0.0466 x2
2 Na 0.0000 0.0000 0.1210 x2
3 Na 0.0000 0.0000 0.2581 x2
4 Na 0.0000 0.0000 0.3537 x2
5 Na 0.0000 0.0000 0.4513 x2
6 B 0.3333 0.6667 0.0000 x1
7 B 0.3333 0.6667 0.1658 x2
8 B 0.3333 0.6667 0.2096 x2
9 B 0.3333 0.6667 0.3051 x2
10 B 0.3333 0.6667 0.4027 x2
11 B 0.3333 0.6667 0.5000 x1
12 B 0.6667 0.3333 0.0000 x1
13 B 0.6667 0.3333 0.1695 x2
14 B 0.6667 0.3333 0.3051 x2
15 B 0.6667 0.3333 0.4027 x2
16 B 0.6667 0.3333 0.5000 x1
17 C 0.6667 0.3333 0.2112 x2

# 3
Starting from the GGA-PBE geometry in Alexandria, the PXRD pattern of Na5B8C2 was calculated for Cu Kα (weighted mean of Kα1 and Kα2).
Kinematic intensities with the Lorentz-polarization factor, no thermal factor.

Main lines, in order of rising 2θ (5° ≤ 2θ ≤ 70°):
2theta	d/Å	intensity	(hkl)
20.6	4.314	22	0 2 0
34.8	2.581	110	1 0 2
35.6	2.525	179	2 0 -1
40.7	2.215	492	1 2 2
41.4	2.179	1000	1 2 -3
41.9	2.157	368	0 4 0
55.5	1.655	58	1 4 2
56.1	1.640	100	2 4 -1
62.8	1.480	88	0 0 5
62.9	1.478	88	3 0 1
64.4	1.447	83	3 0 -4
66.8	1.400	10	0 2 5

Structural model:
Unit cell a=5.048 b=8.628 c=7.764 alpha=90.00 beta=107.56 gamma=90.00
Space group P2_1/m (No. 11)
Inequivalent atoms, fractional coordinates:
1 Na 0.000 0.000 0.000 x2
2 Na 0.197 0.001 0.399 x4
3 Na 0.403 0.502 0.801 x4
4 B 0.069 0.250 0.812 x2
5 B 0.079 0.750 0.806 x2
6 B 0.125 0.750 0.592 x2
7 B 0.141 0.250 0.600 x2
8 B 0.265 0.250 0.187 x2
9 B 0.350 0.750 0.011 x2
10 B 0.477 0.750 0.606 x2
11 B 0.496 0.250 0.620 x2
12 C 0.259 0.750 0.196 x2
13 C 0.330 0.250 0.995 x2

# 4
Starting from the GGA-PBE geometry in Alexandria, the PXRD pattern of Na4B7C was calculated for Cu Kα (weighted mean of Kα1 and Kα2).
Kinematic intensities with the Lorentz-polarization factor, no thermal factor.

Main lines, in order of rising 2θ (5° ≤ 2θ ≤ 70°):
2theta	d/Å	intensity	(hkl)
20.4	4.349	26	0 0 4
33.3	2.693	142	2 0 0
35.9	2.499	167	1 1 0
39.3	2.290	254	2 0 -4
39.4	2.289	253	2 0 4
41.5	2.174	371	0 0 8
41.7	2.167	1000	1 1 4
54.2	1.692	71	2 0 8
56.1	1.640	96	1 1 -8
61.2	1.514	190	3 1 0
65.2	1.430	24	3 1 4
66.3	1.410	75	0 2 0

Structural model:
Unit cell a=5.385 b=2.821 c=17.396 alpha=90.00 beta=90.04 gamma=90.00
Space group P2/m (No. 10)
Inequivalent atoms, fractional coordinates:
1 Na 0.000 0.000 0.000 x1
2 Na 0.000 0.000 0.249 x2
3 Na 0.000 0.000 0.500 x1
4 Na 0.498 0.500 0.750 x2
5 Na 0.500 0.500 0.000 x1
6 Na 0.500 0.500 0.500 x1
7 B 0.151 0.500 0.124 x2
8 B 0.155 0.500 0.626 x2
9 B 0.156 0.500 0.374 x2
10 B 0.182 0.500 0.875 x2
11 B 0.344 0.000 0.375 x2
12 B 0.344 0.000 0.625 x2
13 B 0.367 0.000 0.124 x2
14 C 0.338 0.000 0.876 x2